Record 1
This entry pairs a crystal structure of Sm8Ir3I4N with its calculated X-ray powder pattern. Radiation: CuKα. Structure: a DFT-relaxed cell (GGA-PBE, Alexandria).
Intensities are scaled so that the largest is 100.

```
data_Sm8Ir3I4N
_chemical_formula_sum 'Sm16 Ir6 I8 N2'
_cell_length_a 14.1971
_cell_length_b 8.1801
_cell_length_c 9.2824
_cell_angle_alpha 90.00
_cell_angle_beta 120.75
_cell_angle_gamma 90.00
_symmetry_space_group_name_H-M 'C 1 2/m 1'
_symmetry_Int_Tables_number 12
loop_
_symmetry_equiv_pos_as_xyz
'x,y,z'
'-x,-y,-z'
'-x,y,-z'
'x,-y,z'
'x+1/2,y+1/2,z'
'-x+1/2,-y+1/2,-z'
'-x+1/2,y+1/2,-z'
'x+1/2,-y+1/2,z'
loop_
_atom_site_label
_atom_site_fract_x
_atom_site_fract_y
_atom_site_fract_z
Sm1 0.0203 0.2355 0.3259
Sm2 0.2176 0.0000 0.6758
Sm3 0.2291 0.5000 0.6869
Ir1 0.0000 0.5000 0.5000
Ir2 0.2500 0.2500 0.5000
I1 0.0000 0.0000 0.0000
I2 0.0000 0.5000 0.0000
I3 0.2500 0.2500 0.0000
N1 0.0000 0.0000 0.5000
```

Principal peaks in the range 2θ = 10–80°, by intensity:
hkl 4 0 0, 29.28 deg, 3.050 Å, intensity 100
hkl 6 2 -2, 44.25 deg, 2.047 Å, intensity 39
hkl 0 0 1, 11.09 deg, 7.978 Å, intensity 26
hkl 2 2 2, 39.41 deg, 2.286 Å, intensity 24
hkl 2 2 -3, 36.51 deg, 2.461 Å, intensity 16
hkl 2 2 -4, 45.75 deg, 1.983 Å, intensity 12
hkl 4 4 0, 53.98 deg, 1.699 Å, intensity 12
hkl 10 2 -2, 72.21 deg, 1.308 Å, intensity 10
hkl 4 0 -6, 60.08 deg, 1.540 Å, intensity 10
hkl 0 0 3, 33.69 deg, 2.661 Å, intensity 9

=====

Record 2
This entry pairs a crystal structure of Nd4Ir2I5 with its calculated X-ray powder pattern. Radiation: CuKα. Structure: a DFT-relaxed cell (GGA-PBE, Alexandria).
Intensities are scaled so that the largest is 100.

```
data_Nd4Ir2I5
_chemical_formula_sum 'Nd8 Ir4 I10'
_cell_length_a 3.9934
_cell_length_b 9.9363
_cell_length_c 19.5208
_cell_angle_alpha 90.00
_cell_angle_beta 90.00
_cell_angle_gamma 90.00
_symmetry_space_group_name_H-M 'I m m m'
_symmetry_Int_Tables_number 71
_symmetry_space_group_name_Hall '-I 2 2'
loop_
_atom_site_label
_atom_site_fract_x
_atom_site_fract_y
_atom_site_fract_z
Nd1 0.0000 0.0000 0.1760
Nd2 0.0000 0.2949 0.5000
Ir1 0.0000 0.0000 0.3058
I1 0.0000 0.2484 0.3410
I2 0.0000 0.5000 0.0000
```

Principal peaks in the range 2θ = 10–80°, by intensity:
hkl 1 1 2, 25.72 deg, 3.464 Å, intensity 100
hkl 0 0 6, 27.41 deg, 3.253 Å, intensity 88
hkl 1 2 1, 29.05 deg, 3.074 Å, intensity 68
hkl 1 2 7, 43.58 deg, 2.077 Å, intensity 57
hkl 0 4 0, 36.16 deg, 2.484 Å, intensity 46
hkl 0 4 6, 45.97 deg, 1.974 Å, intensity 34
hkl 1 1 8, 44.46 deg, 2.038 Å, intensity 33
hkl 2 0 0, 45.42 deg, 1.997 Å, intensity 30
hkl 2 0 6, 53.87 deg, 1.702 Å, intensity 30
hkl 1 0 1, 22.73 deg, 3.912 Å, intensity 29

=====

Record 3
This entry pairs a crystal structure of Nd8Ir3SI4 with its calculated X-ray powder pattern. Radiation: CuKα. Structure: a DFT-relaxed cell (GGA-PBE, Alexandria).
Intensities are scaled so that the largest is 100.

```
data_Nd8Ir3SI4
_chemical_formula_sum 'Nd24 Ir9 S3 I12'
_cell_length_a 8.5057
_cell_length_b 8.5057
_cell_length_c 24.0678
_cell_angle_alpha 90.00
_cell_angle_beta 90.00
_cell_angle_gamma 120.00
_symmetry_space_group_name_H-M 'R -3 m'
_symmetry_Int_Tables_number 166
_symmetry_space_group_name_Hall '-R 3 2"'
loop_
_atom_site_label
_atom_site_fract_x
_atom_site_fract_y
_atom_site_fract_z
Nd1 0.0000 0.0000 0.2281
Nd2 0.0133 0.5067 0.7715
Ir1 0.0000 0.5000 0.5000
S1 0.0000 0.0000 0.5000
I1 0.0000 0.0000 0.0000
I2 0.0000 0.5000 0.0000
```

Principal peaks in the range 2θ = 10–80°, by intensity:
hkl 0 2 4, 28.41 deg, 3.141 Å, intensity 100
hkl 2 2 0, 42.51 deg, 2.126 Å, intensity 39
hkl 2 0 8, 38.64 deg, 2.330 Å, intensity 27
hkl 0 0 3, 11.03 deg, 8.023 Å, intensity 20
hkl 4 0 4, 51.93 deg, 1.761 Å, intensity 18
hkl 2 4 4, 69.28 deg, 1.356 Å, intensity 15
hkl 0 2 7, 35.73 deg, 2.513 Å, intensity 13
hkl 2 0 11, 48.40 deg, 1.881 Å, intensity 10
hkl 2 0 5, 30.57 deg, 2.924 Å, intensity 8
hkl 0 4 8, 58.79 deg, 1.571 Å, intensity 8

=====

Record 4
This entry pairs a crystal structure of Nd8TeIr3I4 with its calculated X-ray powder pattern. Radiation: CuKα. Structure: a DFT-relaxed cell (GGA-PBE, Alexandria).
Intensities are scaled so that the largest is 100.

```
data_Nd8TeIr3I4
_chemical_formula_sum 'Nd24 Te3 Ir9 I12'
_cell_length_a 8.6943
_cell_length_b 8.6943
_cell_length_c 24.0376
_cell_angle_alpha 90.00
_cell_angle_beta 90.00
_cell_angle_gamma 120.00
_symmetry_space_group_name_H-M 'R -3 m'
_symmetry_Int_Tables_number 166
_symmetry_space_group_name_Hall '-R 3 2"'
loop_
_atom_site_label
_atom_site_fract_x
_atom_site_fract_y
_atom_site_fract_z
Nd1 0.0000 0.0000 0.2279
Nd2 0.0303 0.5151 0.7700
Te1 0.0000 0.0000 0.5000
Ir1 0.0000 0.5000 0.5000
I1 0.0000 0.0000 0.0000
I2 0.0000 0.5000 0.0000
```

Principal peaks in the range 2θ = 10–80°, by intensity:
hkl 0 2 4, 27.97 deg, 3.190 Å, intensity 100
hkl 2 2 0, 41.55 deg, 2.174 Å, intensity 37
hkl 2 0 8, 38.33 deg, 2.348 Å, intensity 29
hkl 0 0 3, 11.04 deg, 8.013 Å, intensity 23
hkl 4 0 4, 50.83 deg, 1.796 Å, intensity 18
hkl 2 4 4, 67.66 deg, 1.385 Å, intensity 14
hkl 0 2 7, 35.38 deg, 2.537 Å, intensity 13
hkl 2 0 11, 48.15 deg, 1.890 Å, intensity 8
hkl 0 4 8, 57.80 deg, 1.595 Å, intensity 8
hkl 4 2 8, 73.66 deg, 1.286 Å, intensity 8

=====

> Number 1 is which compound?

Sm8Ir3I4N

=====

Repeat the second record exactly.
This entry pairs a crystal structure of Nd4Ir2I5 with its calculated X-ray powder pattern. Radiation: CuKα. Structure: a DFT-relaxed cell (GGA-PBE, Alexandria).
Intensities are scaled so that the largest is 100.

```
data_Nd4Ir2I5
_chemical_formula_sum 'Nd8 Ir4 I10'
_cell_length_a 3.9934
_cell_length_b 9.9363
_cell_length_c 19.5208
_cell_angle_alpha 90.00
_cell_angle_beta 90.00
_cell_angle_gamma 90.00
_symmetry_space_group_name_H-M 'I m m m'
_symmetry_Int_Tables_number 71
_symmetry_space_group_name_Hall '-I 2 2'
loop_
_atom_site_label
_atom_site_fract_x
_atom_site_fract_y
_atom_site_fract_z
Nd1 0.0000 0.0000 0.1760
Nd2 0.0000 0.2949 0.5000
Ir1 0.0000 0.0000 0.3058
I1 0.0000 0.2484 0.3410
I2 0.0000 0.5000 0.0000
```

Principal peaks in the range 2θ = 10–80°, by intensity:
hkl 1 1 2, 25.72 deg, 3.464 Å, intensity 100
hkl 0 0 6, 27.41 deg, 3.253 Å, intensity 88
hkl 1 2 1, 29.05 deg, 3.074 Å, intensity 68
hkl 1 2 7, 43.58 deg, 2.077 Å, intensity 57
hkl 0 4 0, 36.16 deg, 2.484 Å, intensity 46
hkl 0 4 6, 45.97 deg, 1.974 Å, intensity 34
hkl 1 1 8, 44.46 deg, 2.038 Å, intensity 33
hkl 2 0 0, 45.42 deg, 1.997 Å, intensity 30
hkl 2 0 6, 53.87 deg, 1.702 Å, intensity 30
hkl 1 0 1, 22.73 deg, 3.912 Å, intensity 29

=====

> Which formula does entry 2 have?

Nd4Ir2I5